This entry pairs a crystal structure of Mn3Cr2SbP6O24 with its simulated PXRD pattern. Radiation: copper Kα. Structure: a cell relaxed with GGA+U.
Peak positions follow from Bragg's law for the DFT cell and can differ from measured ones.

Crystal structure
```
Mn3Cr2SbP6O24
1.0
4.376 2.527 6.882
-4.376 2.527 6.882
0.000 -5.053 6.882
Mn Cr Sb P O
3 2 1 6 24
direct
0.000 0.000 0.000
0.202 0.202 0.202
0.705 0.705 0.705
0.347 0.347 0.347
0.851 0.851 0.851
0.497 0.497 0.497
0.097 0.801 0.409
0.298 0.604 0.903
0.409 0.097 0.801
0.604 0.903 0.298
0.801 0.409 0.097
0.903 0.298 0.604
0.035 0.826 0.260
0.098 0.747 0.912
0.100 0.288 0.446
0.172 0.950 0.370
0.260 0.035 0.826
0.263 0.594 0.423
0.288 0.446 0.100
0.346 0.524 0.746
0.370 0.172 0.950
0.423 0.263 0.594
0.446 0.100 0.288
0.448 0.679 0.855
0.524 0.746 0.346
0.594 0.423 0.263
0.613 0.954 0.775
0.679 0.855 0.448
0.746 0.346 0.524
0.747 0.912 0.098
0.775 0.613 0.954
0.826 0.260 0.035
0.855 0.448 0.679
0.912 0.098 0.747
0.950 0.370 0.172
0.954 0.775 0.613
```

Most intense lines, 10 to 90 degrees two-theta, sorted by position:
2theta  d_spacing  I/Imax
20.29  4.376  98
24.10  3.693  100
33.12  2.705  80
35.53  2.527  52
47.41  1.918  26
49.36  1.846  33
55.56  1.654  26
62.28  1.491  29